Calculated powder diffraction line list
Compound: Pm2InI8
Radiation: Cu Kα
Structure: a DFT-relaxed cell (GGA-PBE, Alexandria)
Neutral-atom scattering factors, no anomalous dispersion.

```
Pm2InI8
1.0
9.318 0.000 0.000
-4.659 8.070 0.000
0.000 0.000 8.440
Pm In I
2 1 8
Direct
0.333 0.667 0.304
0.667 0.333 0.696
0.000 0.000 0.000
0.152 0.304 0.235
0.152 0.848 0.235
0.304 0.152 0.765
0.333 0.667 0.646
0.667 0.333 0.354
0.696 0.848 0.235
0.848 0.152 0.765
0.848 0.696 0.765
```

The 10 most intense peaks (2θ from 10° to 90°), by angle:
| 2θ (°) | intensity | (hkl) |
| --- | --- | --- |
| 15.19 | 1000 | 0 1 1 |
| 19.05 | 439 | 1 1 0 |
| 21.05 | 529 | 0 0 2 |
| 22.03 | 453 | 2 0 0 |
| 24.45 | 939 | 0 2 1 |
| 30.66 | 569 | 0 2 2 |
| 31.18 | 532 | 1 2 1 |
| 37.34 | 377 | 1 1 3 |
| 38.65 | 696 | 2 2 0 |
| 44.41 | 451 | 2 2 2 |